Simulated powder diffractogram of Na7Au3 for CuKα, from a cell relaxed with PBE.

Atomic structure:
a = 10.343 Å, b = 10.343 Å, c = 5.903 Å
α = 90.00°, β = 90.00°, γ = 120.00°
Element x y z (fractional)
1 Na 0.067 0.534 0.000
2 Na 0.127 0.253 0.778
3 Na 0.127 0.873 0.778
4 Na 0.253 0.127 0.278
5 Na 0.333 0.667 0.517
6 Na 0.466 0.534 0.000
7 Na 0.466 0.933 0.000
8 Na 0.534 0.067 0.500
9 Na 0.534 0.466 0.500
10 Na 0.667 0.333 0.017
11 Na 0.747 0.873 0.778
12 Na 0.873 0.127 0.278
13 Na 0.873 0.747 0.278
14 Na 0.933 0.466 0.500
15 Au 0.188 0.376 0.291
16 Au 0.188 0.812 0.291
17 Au 0.376 0.188 0.791
18 Au 0.624 0.812 0.291
19 Au 0.812 0.188 0.791
20 Au 0.812 0.624 0.791

Top 12 peaks for 15° ≤ 2θ ≤ 90°, in order of falling intensity:
2θ (°), Rel. int., (hkl)
24.96, 100.0, 2 0 1
18.00, 55.1, 1 0 1
34.69, 38.9, 2 2 0
33.64, 37.1, 3 0 1
19.82, 31.2, 2 0 0
46.81, 28.1, 3 2 1
36.46, 25.9, 2 0 2
40.55, 23.1, 2 1 2
46.70, 21.2, 2 2 2
26.32, 20.8, 2 1 0
43.21, 19.6, 4 0 1
30.28, 19.5, 0 0 2